For Li2B3C, a GGA-PBE-relaxed structure gives the calculated powder XRD pattern in this record (a wavelength of 1.5418 Å).
Lines closer than 0.1° are merged.

Top 6 peaks for 2θ from 15° to 90°, low angle first:
index	two_theta	Rel. int.
0 0 2	24.9	100
1 0 2	44.6	94
0 0 4	51.1	25
1 1 0	65.6	32
2 0 2	82.8	13
1 1 4	87.6	28

Atomic structure:
a b c (Å): 2.847 2.847 7.151
angles (deg): 90.00 90.00 120.00
Positions (direct):
Li: 0.000 0.000 0.245
Li: 0.000 0.000 0.755
B: 0.333 0.667 0.000
B: 0.333 0.667 0.500
B: 0.667 0.333 0.000
C: 0.667 0.333 0.500